This entry pairs a crystal structure of TlSe with its theoretical powder diffraction line list. Radiation: Cu Kα (λ = 1.5418 Å). Structure: a structure optimized by DFT (PBE).
Lines closer than 0.1° are merged.

Structural model:
```
data_TlSe
_cell_length_a 4.4339
_cell_length_b 4.4339
_cell_length_c 8.5485
_cell_angle_alpha 90.00
_cell_angle_beta 90.00
_cell_angle_gamma 120.00
_space_group_name_H-M_alt 'P 63 m c'
_space_group_IT_number 186
_space_group_name_Hall 'P 6c -2c'
loop_
_atom_site_label
_atom_site_fract_x
_atom_site_fract_y
_atom_site_fract_z
Tl1 0.3333 0.6667 0.0000
Se1 0.3333 0.6667 0.6570
```

Main lines, low angle first (2θ from 10° to 90°):
Position (°2θ)	intensity
20.78	42.6
23.16	57.9
25.43	100.0
39.38	87.2
40.70	53.4
46.12	32.7
57.92	28.5
73.18	28.6


This entry pairs a crystal structure of Tl3Se2 with its theoretical powder diffraction line list. Radiation: Cu Kα (λ = 1.5418 Å). Structure: a structure optimized by DFT (PBE).
Lines closer than 0.1° are merged.

Structural model:
```
data_Tl3Se2
_cell_length_a 11.532
_cell_length_b 4.450
_cell_length_c 12.159
_cell_angle_alpha 90.00
_cell_angle_beta 90.00
_cell_angle_gamma 90.00
_space_group_name_H-M_alt 'P n m a'
_space_group_IT_number 62
loop_
_space_group_symop_operation_xyz
'x,y,z'
'-x,-y,-z'
'-x+1/2,-y,z+1/2'
'x+1/2,y,-z+1/2'
'x+1/2,-y+1/2,-z+1/2'
'-x+1/2,y+1/2,z+1/2'
'-x,y+1/2,-z'
'x,-y+1/2,z'
loop_
_atom_site_label
_atom_site_fract_x
_atom_site_fract_y
_atom_site_fract_z
Tl1 0.071 0.250 0.133
Tl2 0.125 0.750 0.559
Tl3 0.217 0.250 0.803
Se1 0.020 0.750 0.321
Se2 0.173 0.750 0.957
```

Main lines, low angle first (2θ from 10° to 90°):
Position (°2θ)	intensity
22.63	59.3
27.45	72.3
29.31	69.3
29.82	100.0
30.83	41.0
31.90	41.6
37.92	40.8
40.55	54.5